Diffraction record for AcCrPIr6. The X-ray diffraction stick pattern is calculated, not measured: it uses a structure optimized by DFT (GGA-PBE) and Cu Kα X-rays.
Lines closer than 0.1° are merged.

The 10 most intense peaks (5° ≤ 2θ ≤ 70°), low angle first:
Position (°2θ)  I/Imax
27.4  20
30.8  33
32.0  16
35.3  100
35.6  39
36.4  19
38.2  47
45.1  21
47.5  53
49.9  16

Cell: 8.060 8.060 8.060 Å, 135.92 108.51 87.95°
Positions (direct):
Ac1 0.427 0.177 0.250
Ac2 0.573 0.823 0.750
Cr1 0.000 0.000 0.500
Cr2 0.000 0.500 0.000
P1 0.000 0.500 0.500
P2 0.500 0.500 0.000
Ir1 0.110 0.367 0.212
Ir2 0.110 0.898 0.743
Ir3 0.162 0.912 0.250
Ir4 0.313 0.563 0.750
Ir5 0.345 0.102 0.712
Ir6 0.345 0.633 0.243
Ir7 0.655 0.367 0.757
Ir8 0.655 0.898 0.288
Ir9 0.687 0.437 0.250
Ir10 0.838 0.088 0.750
Ir11 0.890 0.102 0.257
Ir12 0.890 0.633 0.788